The following is a simulated PXRD pattern of PmSm6Er2Tm3. It was derived from a DFT-relaxed cell (GGA-PBE, Alexandria), using Cu Kα (λ = 1.5418 Å).

Cell lengths 6.1993, 6.1993, 11.7789 Å; angles 95.02, 95.02, 119.98 degrees
Element x y z (fractional)
Pm 0.0000 0.0000 0.0000
Sm 0.0844 0.4184 0.2522
Sm 0.2495 0.2495 0.7480
Sm 0.4184 0.0844 0.2522
Sm 0.5816 0.9156 0.7478
Sm 0.7505 0.7505 0.2520
Sm 0.9156 0.5816 0.7478
Er 0.3333 0.6667 0.0000
Er 0.6667 0.3333 0.0000
Tm 0.1669 0.8331 0.5000
Tm 0.5000 0.5000 0.5000
Tm 0.8331 0.1669 0.5000

Top 8 peaks for 10 to 80 degrees two-theta, low angle first:
| d (Å) | 2theta | I (rel.) |
| --- | --- | --- |
| 2.920 | 30.62 | 100 |
| 2.899 | 30.84 | 33 |
| 2.524 | 35.56 | 67 |
| 1.790 | 51.03 | 24 |
| 1.780 | 51.32 | 24 |
| 1.526 | 60.69 | 14 |
| 1.523 | 60.82 | 28 |
| 1.517 | 61.08 | 14 |

The following is a simulated PXRD pattern of Na2GaHg2. It was derived from a DFT-relaxed cell (GGA-PBE, Alexandria), using Cu Kα (λ = 1.5418 Å).

Cell lengths 8.2550, 8.2550, 8.2550 Å; angles 135.53, 61.66, 139.56 degrees
Element x y z (fractional)
Na 0.1801 0.1889 0.3689
Na 0.3199 0.6889 0.0088
Na 0.6801 0.3111 0.9912
Na 0.8199 0.8111 0.6311
Ga 0.2500 0.2500 0.0000
Ga 0.7500 0.7500 0.0000
Hg 0.0936 0.6454 0.7390
Hg 0.4064 0.1454 0.5518
Hg 0.5936 0.8546 0.4482
Hg 0.9064 0.3546 0.2610

Top 8 peaks for 10 to 80 degrees two-theta, low angle first:
| d (Å) | 2theta | I (rel.) |
| --- | --- | --- |
| 7.088 | 12.49 | 67 |
| 5.717 | 15.50 | 31 |
| 3.622 | 24.58 | 100 |
| 2.712 | 33.03 | 53 |
| 2.690 | 33.30 | 43 |
| 2.582 | 34.75 | 34 |
| 2.553 | 35.15 | 45 |
| 2.370 | 37.96 | 70 |

The following is a simulated PXRD pattern of Rb2CdReO6. It was derived from a DFT-relaxed cell (GGA-PBE, Alexandria), using Cu Kα (λ = 1.5418 Å).

Cell lengths 6.4023, 6.4023, 5.7902 Å; angles 90.00, 90.00, 120.00 degrees
Element x y z (fractional)
Rb 0.3333 0.6667 0.3404
Rb 0.6667 0.3333 0.6596
Cd 0.0000 0.0000 0.0000
Re 0.0000 0.0000 0.5000
O 0.1386 0.2772 0.6947
O 0.1386 0.8614 0.6947
O 0.2772 0.1386 0.3053
O 0.7228 0.8614 0.6947
O 0.8614 0.1386 0.3053
O 0.8614 0.7228 0.3053

Top 8 peaks for 10 to 80 degrees two-theta, low angle first:
| d (Å) | 2theta | I (rel.) |
| --- | --- | --- |
| 5.790 | 15.30 | 23 |
| 5.545 | 15.98 | 100 |
| 4.005 | 22.20 | 19 |
| 3.201 | 27.87 | 84 |
| 2.566 | 34.96 | 50 |
| 2.500 | 35.91 | 17 |
| 2.002 | 45.29 | 37 |
| 1.698 | 54.02 | 35 |

The following is a simulated PXRD pattern of CdGe2Pt4Rh. It was derived from a DFT-relaxed cell (GGA-PBE, Alexandria), using Cu Kα (λ = 1.5418 Å).

Cell lengths 3.9610, 3.9610, 9.2278 Å; angles 90.00, 90.00, 90.00 degrees
Element x y z (fractional)
Cd 0.0000 0.0000 0.0000
Ge 0.5000 0.5000 0.3724
Ge 0.5000 0.5000 0.6276
Pt 0.0000 0.5000 0.2189
Pt 0.0000 0.5000 0.7811
Pt 0.5000 0.0000 0.2189
Pt 0.5000 0.0000 0.7811
Rh 0.0000 0.0000 0.5000

Top 8 peaks for 10 to 80 degrees two-theta, low angle first:
| d (Å) | 2theta | I (rel.) |
| --- | --- | --- |
| 4.614 | 19.24 | 37 |
| 2.801 | 31.95 | 14 |
| 2.394 | 37.57 | 100 |
| 2.071 | 43.71 | 23 |
| 1.981 | 45.82 | 43 |
| 1.820 | 50.12 | 13 |
| 1.400 | 66.80 | 14 |
| 1.209 | 79.25 | 23 |